[1]
For SmInCo2, a PBE-relaxed structure gives the calculated PXRD pattern in this record (CuKα).

```
SmInCo2
1.0
5.105 0.000 0.000
0.000 4.024 0.000
0.000 0.000 7.256
Sm In Co
2 2 4
Cartesian
1.276 0.000 1.569
3.828 0.000 5.687
1.276 2.012 6.113
3.828 2.012 1.143
0.000 2.012 3.628
1.276 0.000 4.244
2.552 2.012 3.628
3.828 0.000 3.012
```

Main lines, in order of rising 2θ (15° ≤ 2θ ≤ 90°):
2theta  d_spacing  Rel. int.
30.86  2.897  100
35.16  2.552  28
37.17  2.419  24
37.75  2.383  64
41.30  2.186  20
45.06  2.012  29


[2]
For Li2PuBeO6, a PBE-relaxed structure gives the calculated PXRD pattern in this record (CuKα).

```
Li2PuBeO6
1.0
4.741 -2.598 0.000
4.741 2.598 0.000
-2.052 0.000 4.414
Li Pu Be O
2 1 1 6
Cartesian
1.999 0.000 0.673
5.431 0.000 3.741
-1.026 0.000 2.207
4.741 0.000 0.000
3.711 1.186 0.685
0.828 0.000 2.280
3.719 1.186 3.729
3.711 -1.186 0.685
6.602 0.000 2.134
3.719 -1.186 3.729
```

Main lines, in order of rising 2θ (15° ≤ 2θ ≤ 90°):
2theta  d_spacing  Rel. int.
19.97  4.447  100
20.12  4.414  43
20.66  4.299  52
21.95  4.049  40
25.14  3.543  68
31.52  2.839  44


[3]
For TiS2Cl5, a PBE-relaxed structure gives the calculated PXRD pattern in this record (CuKα).

```
TiS2Cl5
1.0
5.905 0.000 0.000
-2.332 6.260 0.000
-0.007 -2.712 9.031
Ti S Cl
1 2 5
Cartesian
0.000 0.000 0.000
-0.316 3.530 3.998
4.069 2.393 4.105
-1.051 2.022 8.148
1.640 -0.809 4.804
1.229 1.606 0.834
2.375 5.364 1.593
4.578 -1.902 7.495
```

Main lines, in order of rising 2θ (15° ≤ 2θ ≤ 90°):
2theta  d_spacing  Rel. int.
16.11  5.503  55
18.76  4.729  52
19.68  4.510  74
21.31  4.170  64
24.15  3.686  72
24.39  3.649  100


[4]
For HfNp2B2Ru5, a PBE-relaxed structure gives the calculated PXRD pattern in this record (CuKα).

```
HfNp2B2Ru5
1.0
9.797 0.000 0.000
0.000 9.797 0.000
0.000 0.000 3.102
Hf Np B Ru
2 4 4 10
Cartesian
0.000 0.000 0.000
4.899 4.899 0.000
1.736 3.163 0.000
3.163 8.061 0.000
6.635 1.736 0.000
8.061 6.635 0.000
1.177 6.076 0.000
3.722 1.177 0.000
6.076 8.620 0.000
8.620 3.722 0.000
0.000 4.899 1.551
0.690 7.610 1.551
2.188 0.690 1.551
2.711 5.589 1.551
4.209 2.711 1.551
4.899 0.000 1.551
5.589 7.086 1.551
7.086 4.209 1.551
7.610 9.107 1.551
9.107 2.188 1.551
```

Main lines, in order of rising 2θ (15° ≤ 2θ ≤ 90°):
2theta  d_spacing  Rel. int.
20.27  4.381  22
35.45  2.532  68
37.86  2.376  62
38.98  2.311  44
41.19  2.192  100
64.49  1.445  19


Question: Number 2 is which compound?
Answer: Li2PuBeO6